Entry 1:
# SrAl2GaAg
Theoretical PXRD pattern, Cu Ka. Input: the GGA-PBE geometry in Alexandria.
Kinematic intensities with the Lorentz-polarization factor, no thermal factor.

abc: 6.452 6.452 6.452
angles: 140.58 139.61 57.71
Fractional positions:
Sr: 0.000 0.000 0.000
Al: 0.382 0.382 0.000
Al: 0.746 0.246 0.500
Ga: 0.611 0.611 0.000
Ag: 0.249 0.749 0.500

The 10 most intense peaks (5° ≤ 2θ ≤ 70°), by angle:
2θ 21.9, I 30
2θ 31.1, I 34
2θ 31.4, I 20
2θ 32.8, I 100
2θ 40.5, I 25
2θ 41.5, I 23
2θ 43.2, I 17
2θ 45.0, I 14
2θ 52.7, I 15
2θ 59.4, I 15


Entry 2:
# BaNa2H6Os
Theoretical PXRD pattern, Cu Ka. Input: the GGA-PBE geometry in Alexandria.
Kinematic intensities with the Lorentz-polarization factor, no thermal factor.

abc: 5.458 5.458 6.447
angles: 90.00 90.00 120.00
Fractional positions:
Ba: 0.000 0.000 0.000
Na: 0.333 0.667 0.444
Na: 0.667 0.333 0.556
H: 0.149 0.297 0.659
H: 0.149 0.851 0.659
H: 0.297 0.149 0.341
H: 0.703 0.851 0.659
H: 0.851 0.149 0.341
H: 0.851 0.703 0.341
Os: 0.000 0.000 0.500

The 10 most intense peaks (5° ≤ 2θ ≤ 70°), by angle:
2θ 18.8, I 100
2θ 27.7, I 18
2θ 32.8, I 38
2θ 33.7, I 48
2θ 38.1, I 16
2θ 43.4, I 34
2θ 47.7, I 19
2θ 51.1, I 14
2θ 59.1, I 20
2θ 60.7, I 10